[1]
For Ta2AlCu, a PBE-relaxed structure gives the simulated X-ray powder pattern in this record (λ = 1.5418 Å (Cu Kα)).
Peak positions follow from Bragg's law for the DFT cell and can differ from measured ones.

Crystal structure
```
Ta2AlCu
1.0
5.0941 -1.4971 0.0000
5.0941 1.4971 0.0000
-2.1114 0.0000 4.1964
Ta Al Cu
2 1 1
Cartesian
0.0000 0.0000 0.0000 Ta
0.7799 0.0000 3.1651 Ta
3.7340 0.0000 1.9354 Al
7.0293 0.0000 1.1493 Cu
```

Peak list (6 most intense, 2θ = 5–70°, low angle first)
2theta  d_spacing  I (rel.)
21.17  4.196  42
31.45  2.844  42
38.32  2.349  59
39.61  2.275  51
40.75  2.214  100
41.00  2.201  97



[2]
For KAsPt, a PBE-relaxed structure gives the simulated X-ray powder pattern in this record (λ = 1.5418 Å (Cu Kα)).
Peak positions follow from Bragg's law for the DFT cell and can differ from measured ones.

Crystal structure
```
KAsPt
1.0
-1.7472 1.7532 5.9139
1.7472 -1.7532 5.9139
1.7472 1.7532 -5.9139
K As Pt
1 1 1
Cartesian
0.0000 0.0000 0.0000 K
0.0000 0.0000 8.5083 As
0.0000 0.0000 3.3180 Pt
```

Peak list (6 most intense, 2θ = 5–70°, low angle first)
2theta  d_spacing  I (rel.)
14.98  5.914  100
26.56  3.357  29
34.26  2.618  54
36.29  2.475  50
39.47  2.283  38
47.93  1.898  29